For NaNdP2H2CO7, a structure optimized by DFT (PBE) gives the simulated powder X-ray diffraction pattern in this record (Cu Kα (λ = 1.5418 Å)).
Kinematic intensities with the Lorentz-polarization factor, no thermal factor.

Peak list (10 most intense, 2θ from 15° to 90°, sorted by position)
2θ/deg  I (rel.)  h k l
19.61  70  1 1 1
21.69  99  1 2 -1
23.26  100  0 4 0
26.74  81  2 1 0
29.77  85  1 1 -2
29.84  79  1 0 2
31.53  61  2 3 0
31.90  46  2 2 1
32.11  98  0 5 1
43.48  39  1 7 0

Structure:
Cell lengths 6.832, 15.300, 6.751 Å; angles 90.00, 91.50, 90.00 degrees
Space group P2_1/c (No. 14)
Inequivalent atoms, fractional coordinates:
Na  0.199  0.029  0.139 x4
Nd  0.325  0.602  0.101 x4
P  0.178  0.095  0.633 x4
P  0.470  0.658  0.605 x4
H  0.186  0.204  0.888 x4
H  0.313  0.239  0.676 x4
C  0.291  0.183  0.776 x4
O  0.005  0.633  0.972 x4
O  0.081  0.661  0.344 x4
O  0.134  0.019  0.776 x4
O  0.324  0.060  0.479 x4
O  0.356  0.599  0.744 x4
O  0.372  0.748  0.571 x4
O  0.489  0.112  0.092 x4

=====

For TlIn3, a structure optimized by DFT (PBE) gives the simulated powder X-ray diffraction pattern in this record (Cu Kα (λ = 1.5418 Å)).
Kinematic intensities with the Lorentz-polarization factor, no thermal factor.

Peak list (10 most intense, 2θ from 15° to 90°, sorted by position)
2θ/deg  I (rel.)  h k l
20.44  6  1 0 1
32.13  100  1 1 2
36.64  35  2 0 0
38.52  15  0 0 4
52.78  12  2 2 0
54.21  22  2 0 4
63.15  28  3 1 2
65.68  13  1 1 6
67.21  12  2 2 4
89.05  12  3 1 6

Structure:
Cell lengths 4.906, 4.906, 9.350 Å; angles 90.00, 90.00, 90.00 degrees
Space group I4/mmm (No. 139)
Inequivalent atoms, fractional coordinates:
Tl  0.000  0.000  0.000 x2
In  0.000  0.000  0.500 x2
In  0.000  0.500  0.250 x4

=====

For DySbRh2, a structure optimized by DFT (PBE) gives the simulated powder X-ray diffraction pattern in this record (Cu Kα (λ = 1.5418 Å)).
Kinematic intensities with the Lorentz-polarization factor, no thermal factor.

Peak list (10 most intense, 2θ from 15° to 90°, sorted by position)
2θ/deg  I (rel.)  h k l
23.12  1  1 1 1
26.75  2  2 0 0
38.20  100  2 2 0
45.12  1  3 1 1
47.25  1  2 2 2
55.12  17  4 0 0
62.30  1  4 2 0
69.04  34  4 2 2
81.74  11  4 4 0
87.90  1  6 0 0

Structure:
Cell lengths 6.665, 6.665, 6.665 Å; angles 90.00, 90.00, 90.00 degrees
Space group Fm-3m (No. 225)
Inequivalent atoms, fractional coordinates:
Dy  0.000  0.000  0.000 x4
Sb  0.000  0.000  0.500 x4
Rh  0.250  0.250  0.250 x8

=====

For LiAg2F4, a structure optimized by DFT (PBE) gives the simulated powder X-ray diffraction pattern in this record (Cu Kα (λ = 1.5418 Å)).
Kinematic intensities with the Lorentz-polarization factor, no thermal factor.

Peak list (10 most intense, 2θ from 15° to 90°, sorted by position)
2θ/deg  I (rel.)  h k l
17.88  89  1 1 1
28.75  41  0 0 4
30.36  100  1 3 1
31.66  66  2 0 2
34.68  33  0 4 0
36.75  29  1 3 3
39.93  24  1 1 5
47.31  42  1 3 5
51.18  27  3 3 1
52.79  26  2 0 6

Structure:
Cell lengths 6.348, 10.346, 12.422 Å; angles 90.00, 90.00, 90.00 degrees
Space group Fddd (No. 70, origin choice 2)
Inequivalent atoms, fractional coordinates:
Li  0.125  0.125  0.125 x8
Ag  0.125  0.281  0.625 x16
F  0.051  0.261  0.452 x32

=====

For LaCo5, a structure optimized by DFT (PBE) gives the simulated powder X-ray diffraction pattern in this record (Cu Kα (λ = 1.5418 Å)).
Kinematic intensities with the Lorentz-polarization factor, no thermal factor.

Peak list (10 most intense, 2θ from 15° to 90°, sorted by position)
2θ/deg  I (rel.)  h k l
30.43  47  2 1 1
35.51  31  0 3 1
41.24  37  0 4 0
42.42  100  2 3 1
45.81  26  4 0 0
59.27  14  4 3 1
60.64  14  2 4 2
63.32  20  4 4 0
68.51  21  2 6 0
75.16  19  0 6 2

Structure:
Cell lengths 7.923, 8.761, 5.054 Å; angles 90.00, 90.00, 90.00 degrees
Space group Imm2 (No. 44)
Inequivalent atoms, fractional coordinates:
La  0.000  0.000  0.000 x2
La  0.000  0.500  0.479 x2
Co  0.000  0.180  0.518 x4
Co  0.000  0.344  0.971 x4
Co  0.242  0.000  0.493 x4
Co  0.244  0.250  0.243 x8

=====

For CaAl2Si2, a structure optimized by DFT (PBE) gives the simulated powder X-ray diffraction pattern in this record (Cu Kα (λ = 1.5418 Å)).
Kinematic intensities with the Lorentz-polarization factor, no thermal factor.

Peak list (10 most intense, 2θ from 15° to 90°, sorted by position)
2θ/deg  I (rel.)  h k l
27.79  100  0 1 1
35.50  79  0 1 2
37.98  16  0 0 3
43.56  76  1 1 0
45.86  34  1 0 3
52.46  15  2 0 1
57.40  18  2 0 2
59.15  24  1 1 3
74.73  16  1 2 2
81.62  13  2 1 3

Structure:
Cell lengths 4.1553, 4.1553, 7.1069 Å; angles 90.00, 90.00, 120.00 degrees
Space group P-3m1 (No. 164)
Inequivalent atoms, fractional coordinates:
Ca  0.0000  0.0000  0.0000 x1
Al  0.3333  0.6667  0.6299 x2
Si  0.3333  0.6667  0.2638 x2